Diffraction record for Zn2BrN. The PXRD pattern is theoretical, not measured: it uses DFT lattice parameters and positions (GGA-PBE) and Cu Kα.
Peak positions follow from Bragg's law for the DFT cell and can differ from measured ones.

The 10 most intense peaks (10 to 80 degrees two-theta), by angle:
two_theta, I_rel, index
26.96, 38, 1 2 0
28.46, 32, 2 0 0
28.93, 19, 0 0 2
30.71, 52, 2 1 0
34.37, 100, 1 1 2
37.18, 22, 0 2 2
37.53, 58, 1 3 0
39.96, 25, 1 2 2
42.71, 30, 2 1 2
55.85, 19, 0 4 2

Structure:
```
data_Zn2BrN
_chemical_formula_sum 'Zn8 Br4 N4'
_space_group_name_H-M_alt 'P n a 21'
_space_group_IT_number 33
_cell_length_a 6.2732
_cell_length_b 7.7848
_cell_length_c 6.1721
_cell_angle_alpha 90.00
_cell_angle_beta 90.00
_cell_angle_gamma 90.00
loop_
_space_group_symop_operation_xyz
'x,y,z'
'-x,-y,z+1/2'
'-x+1/2,y+1/2,z+1/2'
'x+1/2,-y+1/2,z'
loop_
_atom_site_label
_atom_site_type_symbol
_atom_site_fract_x
_atom_site_fract_y
_atom_site_fract_z
_atom_site_occupancy
Zn1 Zn 0.0059 0.0096 0.0000 1
Zn2 Zn 0.1233 0.6779 0.2264 1
Br1 Br 0.0846 0.6126 0.7491 1
N1 N 0.0725 0.1274 0.7408 1
```

---

Diffraction record for Mn3Mo3C. The PXRD pattern is theoretical, not measured: it uses DFT lattice parameters and positions (GGA-PBE) and Cu Kα.
Peak positions follow from Bragg's law for the DFT cell and can differ from measured ones.

The 10 most intense peaks (10 to 80 degrees two-theta), by angle:
two_theta, I_rel, index
32.19, 12, 4 0 0
35.17, 19, 3 3 1
39.70, 44, 4 2 2
42.22, 100, 3 3 3
46.17, 37, 4 4 0
59.34, 9, 5 5 1
64.34, 7, 7 3 1
69.14, 11, 7 3 3
72.06, 38, 6 6 0
73.78, 9, 5 5 5

Structure:
a = 11.1216 Å, b = 11.1216 Å, c = 11.1216 Å
α = 90.00°, β = 90.00°, γ = 90.00°
Space group Fd-3m (No. 227, origin choice 2)
Inequivalent atoms, fractional coordinates:
Mn: 0.0000 0.0000 0.0000
Mn: 0.0467 0.0467 0.2033
Mo: 0.0730 0.3750 0.8750
C: 0.0000 0.0000 0.5000

---

Diffraction record for Dy3Ge2Pt7. The PXRD pattern is theoretical, not measured: it uses DFT lattice parameters and positions (GGA-PBE) and Cu Kα.
Peak positions follow from Bragg's law for the DFT cell and can differ from measured ones.

The 10 most intense peaks (10 to 80 degrees two-theta), by angle:
two_theta, I_rel, index
32.81, 8, 0 10 0
35.23, 100, 1 5 1
38.87, 21, 1 7 1
42.39, 9, 1 11 0
43.32, 16, 1 9 1
43.43, 26, 2 0 0
45.51, 23, 0 0 2
64.72, 16, 2 0 2
74.38, 12, 3 5 1
77.39, 11, 1 5 3

Structure:
```
data_Dy3Ge2Pt7
_chemical_formula_sum 'Dy6 Ge4 Pt14'
_space_group_name_H-M_alt 'C m m m'
_space_group_IT_number 65
_space_group_name_Hall '-C 2 2'
_cell_length_a 4.1673
_cell_length_b 27.2975
_cell_length_c 3.9859
_cell_angle_alpha 90.00
_cell_angle_beta 90.00
_cell_angle_gamma 90.00
loop_
_atom_site_label
_atom_site_type_symbol
_atom_site_fract_x
_atom_site_fract_y
_atom_site_fract_z
_atom_site_occupancy
Dy1 Dy 0.0000 0.0000 0.0000 1
Dy2 Dy 0.0000 0.1831 0.0000 1
Ge1 Ge 0.0000 0.3689 0.5000 1
Pt1 Pt 0.0000 0.0803 0.5000 1
Pt2 Pt 0.0000 0.2804 0.5000 1
Pt3 Pt 0.0000 0.4221 0.0000 1
Pt4 Pt 0.0000 0.5000 0.5000 1
```

---

Diffraction record for NaAsO2. The PXRD pattern is theoretical, not measured: it uses DFT lattice parameters and positions (GGA-PBE) and Cu Kα.
Peak positions follow from Bragg's law for the DFT cell and can differ from measured ones.

The 10 most intense peaks (10 to 80 degrees two-theta), by angle:
two_theta, I_rel, index
17.17, 69, 0 2 1
22.36, 47, 0 4 0
24.36, 100, 1 2 1
25.97, 39, 0 4 1
31.29, 54, 1 4 1
31.52, 51, 1 0 2
34.70, 38, 2 0 0
46.15, 26, 0 4 3
46.90, 33, 1 6 2
59.00, 21, 2 4 3

Structure:
```
data_NaAsO2
_chemical_formula_sum 'Na8 As8 O16'
_space_group_name_H-M_alt 'P b c a'
_space_group_IT_number 61
_cell_length_a 5.1707
_cell_length_b 15.9031
_cell_length_c 6.7904
_cell_angle_alpha 90.00
_cell_angle_beta 90.00
_cell_angle_gamma 90.00
loop_
_space_group_symop_operation_xyz
'x,y,z'
'-x,-y,-z'
'-x+1/2,-y,z+1/2'
'x+1/2,y,-z+1/2'
'x+1/2,-y+1/2,-z'
'-x+1/2,y+1/2,z'
'-x,y+1/2,-z+1/2'
'x,-y+1/2,z+1/2'
loop_
_atom_site_label
_atom_site_type_symbol
_atom_site_fract_x
_atom_site_fract_y
_atom_site_fract_z
_atom_site_occupancy
Na1 Na 0.2427 0.0504 0.0985 1
As1 As 0.2320 0.1606 0.5987 1
O1 O 0.0817 0.6169 0.8138 1
O2 O 0.2109 0.5814 0.4298 1
```

---

Diffraction record for Cu6PbSe2Cl5O8. The PXRD pattern is theoretical, not measured: it uses DFT lattice parameters and positions (GGA-PBE) and Cu Kα.
Peak positions follow from Bragg's law for the DFT cell and can differ from measured ones.

The 10 most intense peaks (10 to 80 degrees two-theta), by angle:
two_theta, I_rel, index
17.45, 78, 1 1 1
22.66, 65, 1 1 -3
24.70, 100, 3 1 1
28.38, 97, 0 2 0
28.80, 37, 6 0 -2
32.27, 39, 3 1 -5
33.01, 35, 2 0 4
33.91, 38, 1 1 -5
35.31, 57, 2 2 2
57.86, 35, 2 2 -8

Structure:
```
data_Cu6PbSe2Cl5O8
_chemical_formula_sum 'Cu24 Pb4 Se8 Cl20 O32'
_space_group_name_H-M_alt 'C 1 2/m 1'
_space_group_IT_number 12
_cell_length_a 18.6660
_cell_length_b 6.2896
_cell_length_c 15.4584
_cell_angle_alpha 90.00
_cell_angle_beta 118.51
_cell_angle_gamma 90.00
loop_
_space_group_symop_operation_xyz
'x,y,z'
'-x,-y,-z'
'-x,y,-z'
'x,-y,z'
'x+1/2,y+1/2,z'
'-x+1/2,-y+1/2,-z'
'-x+1/2,y+1/2,-z'
'x+1/2,-y+1/2,z'
loop_
_atom_site_label
_atom_site_type_symbol
_atom_site_fract_x
_atom_site_fract_y
_atom_site_fract_z
_atom_site_occupancy
Cu1 Cu 0.0000 0.0000 0.0000 1
Cu2 Cu 0.0000 0.5000 0.5000 1
Cu3 Cu 0.0164 0.2465 0.2581 1
Cu4 Cu 0.0589 0.5000 0.9508 1
Cu5 Cu 0.0695 0.0000 0.4651 1
Cu6 Cu 0.1487 0.5000 0.8299 1
Pb1 Pb 0.2074 0.0000 0.3598 1
Se1 Se 0.1254 0.0000 0.7078 1
Se2 Se 0.1430 0.5000 0.1987 1
Cl1 Cl 0.0624 0.0000 0.9184 1
Cl2 Cl 0.0904 0.5000 0.4551 1
Cl3 Cl 0.1926 0.5000 0.0012 1
Cl4 Cl 0.2087 0.0000 0.5580 1
Cl5 Cl 0.2405 0.0000 0.1895 1
O1 O 0.0376 0.5000 0.8165 1
O2 O 0.0510 0.0000 0.5816 1
O3 O 0.0582 0.5000 0.0792 1
O4 O 0.0684 0.0000 0.3397 1
O5 O 0.0911 0.2177 0.7460 1
O6 O 0.1186 0.2864 0.2510 1
```

---

Diffraction record for Pm3Nd4Hg3N2. The PXRD pattern is theoretical, not measured: it uses DFT lattice parameters and positions (GGA-PBE) and Cu Kα.
Peak positions follow from Bragg's law for the DFT cell and can differ from measured ones.

The 10 most intense peaks (10 to 80 degrees two-theta), by angle:
two_theta, I_rel, index
24.94, 14, 1 1 0
28.87, 46, 1 1 4
33.19, 100, 1 1 6
35.42, 34, 0 2 0
35.71, 33, 2 0 0
36.29, 17, 0 0 10
51.18, 24, 2 2 0
62.18, 17, 1 3 6
62.56, 16, 3 1 6
64.35, 13, 2 2 10

Structure:
```
data_Pm3Nd4Hg3N2
_chemical_formula_sum 'Pm6 Nd8 Hg6 N4'
_space_group_name_H-M_alt 'I m m m'
_space_group_IT_number 71
_space_group_name_Hall '-I 2 2'
_cell_length_a 5.0282
_cell_length_b 5.0684
_cell_length_c 24.7525
_cell_angle_alpha 90.00
_cell_angle_beta 90.00
_cell_angle_gamma 90.00
loop_
_atom_site_label
_atom_site_type_symbol
_atom_site_fract_x
_atom_site_fract_y
_atom_site_fract_z
_atom_site_occupancy
Pm1 Pm 0.0000 0.0000 0.0000 1
Pm2 Pm 0.0000 0.5000 0.4033 1
Nd1 Nd 0.0000 0.0000 0.2005 1
Nd2 Nd 0.0000 0.5000 0.0964 1
Hg1 Hg 0.0000 0.0000 0.3251 1
Hg2 Hg 0.0000 0.0000 0.5000 1
N1 N 0.0000 0.0000 0.1009 1
```

---

Diffraction record for AcAgP2Pt7. The PXRD pattern is theoretical, not measured: it uses DFT lattice parameters and positions (GGA-PBE) and Cu Kα.
Peak positions follow from Bragg's law for the DFT cell and can differ from measured ones.

The 10 most intense peaks (10 to 80 degrees two-theta), by angle:
two_theta, I_rel, index
23.48, 24, 1 0 3
30.20, 18, 0 0 10
33.17, 25, 1 1 4
35.91, 100, 1 1 6
36.44, 12, 0 0 12
44.15, 39, 2 0 0
54.44, 16, 2 0 10
58.53, 12, 2 0 12
64.21, 13, 2 2 0
75.82, 23, 3 1 6

Structure:
```
data_AcAgP2Pt7
_chemical_formula_sum 'Ac2 Ag2 P4 Pt14'
_space_group_name_H-M_alt 'I -4 m 2'
_space_group_IT_number 119
_space_group_name_Hall 'I -4 -2'
_cell_length_a 4.1028
_cell_length_b 4.1028
_cell_length_c 29.5897
_cell_angle_alpha 90.00
_cell_angle_beta 90.00
_cell_angle_gamma 90.00
loop_
_atom_site_label
_atom_site_type_symbol
_atom_site_fract_x
_atom_site_fract_y
_atom_site_fract_z
_atom_site_occupancy
Ac1 Ac 0.0000 0.0000 0.0000 1
Ag1 Ag 0.0000 0.5000 0.2500 1
P1 P 0.0000 0.0000 0.3779 1
Pt1 Pt 0.0000 0.0000 0.3056 1
Pt2 Pt 0.0000 0.0000 0.5000 1
Pt3 Pt 0.0000 0.5000 0.0820 1
Pt4 Pt 0.0000 0.5000 0.5816 1
```

---

Diffraction record for K2Np2TiS6. The PXRD pattern is theoretical, not measured: it uses DFT lattice parameters and positions (GGA-PBE) and Cu Kα.
Peak positions follow from Bragg's law for the DFT cell and can differ from measured ones.

The 10 most intense peaks (10 to 80 degrees two-theta), by angle:
two_theta, I_rel, index
11.72, 100, 0 0 1
17.16, 15, 1 1 -1
23.57, 16, 0 0 2
27.04, 19, 1 3 0
27.90, 17, 1 3 -1
30.93, 24, 2 0 -2
31.14, 53, 1 3 1
41.86, 18, 1 3 -3
46.96, 15, 3 3 -1
48.59, 19, 1 3 3

Structure:
```
data_K2Np2TiS6
_chemical_formula_sum 'K4 Np4 Ti2 S12'
_space_group_name_H-M_alt 'C 1 2/m 1'
_space_group_IT_number 12
_cell_length_a 6.7206
_cell_length_b 11.5147
_cell_length_c 7.8770
_cell_angle_alpha 90.00
_cell_angle_beta 106.57
_cell_angle_gamma 90.00
loop_
_space_group_symop_operation_xyz
'x,y,z'
'-x,-y,-z'
'-x,y,-z'
'x,-y,z'
'x+1/2,y+1/2,z'
'-x+1/2,-y+1/2,-z'
'-x+1/2,y+1/2,-z'
'x+1/2,-y+1/2,z'
loop_
_atom_site_label
_atom_site_type_symbol
_atom_site_fract_x
_atom_site_fract_y
_atom_site_fract_z
_atom_site_occupancy
K1 K 0.0000 0.1691 0.0000 1
Np1 Np 0.0000 0.3338 0.5000 1
Ti1 Ti 0.0000 0.0000 0.5000 1
S1 S 0.2216 0.1569 0.6914 1
S2 S 0.2454 0.0000 0.3092 1
```

---

Diffraction record for La2Sm12Tm5. The PXRD pattern is theoretical, not measured: it uses DFT lattice parameters and positions (GGA-PBE) and Cu Kα.
Peak positions follow from Bragg's law for the DFT cell and can differ from measured ones.

The 10 most intense peaks (10 to 80 degrees two-theta), by angle:
two_theta, I_rel, index
28.61, 32, 2 0 2
28.81, 100, 4 2 -1
28.98, 47, 4 2 1
31.05, 67, 7 1 0
31.47, 44, 3 1 -2
31.74, 54, 3 1 2
32.10, 63, 1 3 1
34.38, 44, 3 3 1
35.77, 23, 5 3 0
57.88, 30, 11 3 -1

Structure:
```
data_La2Sm12Tm5
_chemical_formula_sum 'La4 Sm24 Tm10'
_space_group_name_H-M_alt 'C 1 2/m 1'
_space_group_IT_number 12
_cell_length_a 21.1942
_cell_length_b 9.3456
_cell_length_c 6.5490
_cell_angle_alpha 90.00
_cell_angle_beta 90.65
_cell_angle_gamma 90.00
loop_
_space_group_symop_operation_xyz
'x,y,z'
'-x,-y,-z'
'-x,y,-z'
'x,-y,z'
'x+1/2,y+1/2,z'
'-x+1/2,-y+1/2,-z'
'-x+1/2,y+1/2,-z'
'x+1/2,-y+1/2,z'
loop_
_atom_site_label
_atom_site_type_symbol
_atom_site_fract_x
_atom_site_fract_y
_atom_site_fract_z
_atom_site_occupancy
La1 La 0.0000 0.1997 0.0000 1
Sm1 Sm 0.0603 0.5000 0.6555 1
Sm2 Sm 0.1362 0.1858 0.4017 1
Sm3 Sm 0.1383 0.0000 0.9182 1
Sm4 Sm 0.2065 0.3297 0.8300 1
Tm1 Tm 0.0000 0.0000 0.5000 1
Tm2 Tm 0.0957 0.5000 0.1469 1
Tm3 Tm 0.2363 0.5000 0.3590 1
```